Structure and calculated PXRD pattern of Ba2Gd2Co4O11 (a crystal structure in OQMD, relaxed with PBE+U; a wavelength of 1.5418 Å).
No peak broadening, texture or thermal motion is included.

Atomic structure:
```
data_Ba2Gd2Co4O11
_cell_length_a 3.8773
_cell_length_b 7.5865
_cell_length_c 7.7898
_cell_angle_alpha 90.00
_cell_angle_beta 90.00
_cell_angle_gamma 90.00
_symmetry_space_group_name_H-M 'P m m m'
_symmetry_Int_Tables_number 47
_symmetry_space_group_name_Hall '-P 2 2'
loop_
_atom_site_label
_atom_site_fract_x
_atom_site_fract_y
_atom_site_fract_z
Ba1 0.0000 0.0000 0.2487
Gd1 0.0000 0.5000 0.2703
Co1 0.5000 0.2530 0.5000
Co2 0.5000 0.2603 0.0000
O1 0.0000 0.2747 0.5000
O2 0.0000 0.3146 0.0000
O3 0.5000 0.0000 0.0000
O4 0.5000 0.0000 0.5000
O5 0.5000 0.3004 0.2321
O6 0.5000 0.5000 0.5000
```

Top 6 peaks for 2θ = 10–80°, by intensity:
hkl 1 2 0, 2.714 Å, rel. 100
hkl 1 0 2, 2.748 Å, rel. 47
hkl 1 2 2, 2.225 Å, rel. 21
hkl 1 4 2, 1.561 Å, rel. 20
hkl 2 2 2, 1.578 Å, rel. 19
hkl 1 2 4, 1.582 Å, rel. 17